(1)
For Np2Tc3Ge4, a cell relaxed with PBE gives the calculated powder diffraction line list in this record (Cu Kα).

Cell and atoms:
a = 6.812 Å, b = 8.220 Å, c = 5.726 Å
α = 90.00°, β = 104.40°, γ = 90.00°
Atoms (fractional coordinates):
Np (0.249, 0.051, 0.423)
Np (0.249, 0.449, 0.923)
Np (0.751, 0.551, 0.077)
Np (0.751, 0.949, 0.577)
Tc (0.106, 0.706, 0.378)
Tc (0.106, 0.794, 0.878)
Tc (0.500, 0.000, 0.000)
Tc (0.500, 0.500, 0.500)
Tc (0.894, 0.206, 0.122)
Tc (0.894, 0.294, 0.622)
Ge (0.134, 0.100, 0.881)
Ge (0.134, 0.400, 0.381)
Ge (0.427, 0.750, 0.229)
Ge (0.427, 0.750, 0.729)
Ge (0.573, 0.250, 0.271)
Ge (0.573, 0.250, 0.771)
Ge (0.866, 0.600, 0.619)
Ge (0.866, 0.900, 0.119)

Top 10 peaks for 2θ = 15–90°, most intense first:
35.48 deg, I = 100; 36.64 deg, I = 97; 29.90 deg, I = 51; 31.74 deg, I = 49; 38.73 deg, I = 44; 36.79 deg, I = 43; 34.87 deg, I = 42; 38.20 deg, I = 41; 39.19 deg, I = 37; 46.60 deg, I = 34


(2)
For Ge2O3, a cell relaxed with PBE gives the calculated powder diffraction line list in this record (Cu Kα).

Cell and atoms:
a = 3.774 Å, b = 3.774 Å, c = 3.774 Å
α = 90.00°, β = 90.00°, γ = 90.00°
Atoms (fractional coordinates):
Ge (0.000, 0.000, 0.000)
Ge (0.500, 0.500, 0.500)
O (0.000, 0.000, 0.500)
O (0.000, 0.500, 0.000)
O (0.500, 0.000, 0.000)

Top 9 peaks for 2θ = 15–90°, most intense first:
33.58 deg, I = 100; 60.05 deg, I = 38; 48.22 deg, I = 38; 70.58 deg, I = 22; 80.47 deg, I = 17; 41.44 deg, I = 5; 23.57 deg, I = 2; 85.29 deg, I = 1; 54.35 deg, I = 1


(3)
For Ge5O11, a cell relaxed with PBE gives the calculated powder diffraction line list in this record (Cu Kα).

Cell and atoms:
a = 8.312 Å, b = 8.312 Å, c = 7.997 Å
α = 93.23°, β = 93.23°, γ = 126.50°
Atoms (fractional coordinates):
Ge (0.000, 0.000, 0.000)
Ge (0.000, 0.305, 0.485)
Ge (0.115, 0.430, 0.874)
Ge (0.305, 0.000, 0.485)
Ge (0.430, 0.115, 0.874)
Ge (0.434, 0.434, 0.358)
Ge (0.562, 0.562, 0.977)
Ge (0.569, 0.985, 0.212)
Ge (0.854, 0.854, 0.350)
Ge (0.985, 0.569, 0.212)
O (0.001, 0.424, 0.676)
O (0.045, 0.045, 0.222)
O (0.045, 0.850, 0.486)
O (0.075, 0.569, 0.021)
O (0.180, 0.982, 0.915)
O (0.245, 0.447, 0.432)
O (0.335, 0.864, 0.313)
O (0.373, 0.565, 0.856)
O (0.407, 0.407, 0.135)
O (0.424, 0.001, 0.676)
O (0.447, 0.245, 0.432)
O (0.565, 0.373, 0.856)
O (0.569, 0.075, 0.021)
O (0.583, 0.833, 0.670)
O (0.641, 0.828, 0.188)
O (0.655, 0.655, 0.460)
O (0.775, 0.775, 0.905)
O (0.828, 0.641, 0.188)
O (0.833, 0.583, 0.670)
O (0.850, 0.045, 0.486)
O (0.864, 0.335, 0.313)
O (0.982, 0.180, 0.915)

Top 10 peaks for 2θ = 15–90°, most intense first:
26.85 deg, I = 100; 23.64 deg, I = 89; 32.41 deg, I = 79; 26.52 deg, I = 76; 21.58 deg, I = 75; 30.33 deg, I = 71; 30.18 deg, I = 57; 22.41 deg, I = 53; 25.46 deg, I = 51; 16.41 deg, I = 51


(4)
For Ge5P6O25, a cell relaxed with PBE gives the calculated powder diffraction line list in this record (Cu Kα).

Cell and atoms:
a = 9.621 Å, b = 9.621 Å, c = 9.621 Å
α = 50.00°, β = 50.00°, γ = 50.00°
Atoms (fractional coordinates):
Ge (0.000, 0.000, 0.000)
Ge (0.177, 0.177, 0.177)
Ge (0.432, 0.432, 0.432)
Ge (0.568, 0.568, 0.568)
Ge (0.823, 0.823, 0.823)
P (0.070, 0.824, 0.380)
P (0.176, 0.620, 0.930)
P (0.380, 0.070, 0.824)
P (0.620, 0.930, 0.176)
P (0.824, 0.380, 0.070)
P (0.930, 0.176, 0.620)
O (0.034, 0.103, 0.739)
O (0.088, 0.732, 0.779)
O (0.093, 0.138, 0.433)
O (0.103, 0.739, 0.034)
O (0.138, 0.433, 0.093)
O (0.192, 0.593, 0.434)
O (0.221, 0.912, 0.268)
O (0.261, 0.966, 0.897)
O (0.268, 0.221, 0.912)
O (0.407, 0.566, 0.808)
O (0.433, 0.093, 0.138)
O (0.434, 0.192, 0.593)
O (0.500, 0.500, 0.500)
O (0.566, 0.808, 0.407)
O (0.567, 0.907, 0.862)
O (0.593, 0.434, 0.192)
O (0.732, 0.779, 0.088)
O (0.739, 0.034, 0.103)
O (0.779, 0.088, 0.732)
O (0.808, 0.407, 0.566)
O (0.862, 0.567, 0.907)
O (0.897, 0.261, 0.966)
O (0.907, 0.862, 0.567)
O (0.912, 0.268, 0.221)
O (0.966, 0.897, 0.261)

Top 10 peaks for 2θ = 15–90°, most intense first:
24.32 deg, I = 100; 21.86 deg, I = 91; 21.69 deg, I = 78; 30.98 deg, I = 66; 38.34 deg, I = 44; 60.19 deg, I = 38; 30.61 deg, I = 29; 42.23 deg, I = 26; 59.02 deg, I = 26; 69.32 deg, I = 24


(5)
For GeP2O7, a cell relaxed with PBE gives the calculated powder diffraction line list in this record (Cu Kα).

Cell and atoms:
a = 4.727 Å, b = 6.815 Å, c = 7.880 Å
α = 91.60°, β = 92.85°, γ = 105.30°
Atoms (fractional coordinates):
Ge (0.000, 0.000, 0.000)
Ge (0.500, 0.500, 0.500)
P (0.019, 0.639, 0.264)
P (0.388, 0.754, 0.810)
P (0.612, 0.246, 0.190)
P (0.981, 0.361, 0.736)
O (0.113, 0.828, 0.160)
O (0.149, 0.332, 0.580)
O (0.196, 0.533, 0.862)
O (0.200, 0.904, 0.825)
O (0.293, 0.567, 0.308)
O (0.347, 0.205, 0.062)
O (0.459, 0.735, 0.623)
O (0.541, 0.265, 0.377)
O (0.653, 0.795, 0.938)
O (0.707, 0.433, 0.692)
O (0.800, 0.096, 0.175)
O (0.804, 0.467, 0.138)
O (0.851, 0.668, 0.420)
O (0.887, 0.172, 0.840)

Top 10 peaks for 2θ = 15–90°, most intense first:
17.22 deg, I = 100; 17.96 deg, I = 63; 31.20 deg, I = 61; 23.17 deg, I = 53; 30.32 deg, I = 51; 26.63 deg, I = 25; 23.79 deg, I = 22; 36.38 deg, I = 21; 29.68 deg, I = 19; 38.85 deg, I = 15


(6)
For GeP3O6, a cell relaxed with PBE gives the calculated powder diffraction line list in this record (Cu Kα).

Cell and atoms:
a = 7.925 Å, b = 7.925 Å, c = 7.925 Å
α = 104.68°, β = 104.68°, γ = 104.68°
Atoms (fractional coordinates):
Ge (0.000, 0.000, 0.000)
Ge (0.500, 0.500, 0.500)
P (0.023, 0.426, 0.238)
P (0.238, 0.023, 0.426)
P (0.426, 0.238, 0.023)
P (0.574, 0.762, 0.977)
P (0.762, 0.977, 0.574)
P (0.977, 0.574, 0.762)
O (0.007, 0.753, 0.919)
O (0.081, 0.993, 0.247)
O (0.190, 0.480, 0.409)
O (0.247, 0.081, 0.993)
O (0.409, 0.190, 0.480)
O (0.480, 0.409, 0.190)
O (0.520, 0.591, 0.810)
O (0.591, 0.810, 0.520)
O (0.753, 0.919, 0.007)
O (0.810, 0.520, 0.591)
O (0.919, 0.007, 0.753)
O (0.993, 0.247, 0.081)

Top 10 peaks for 2θ = 15–90°, most intense first:
23.55 deg, I = 100; 28.55 deg, I = 75; 24.69 deg, I = 69; 35.12 deg, I = 56; 37.95 deg, I = 35; 31.09 deg, I = 30; 48.36 deg, I = 18; 50.63 deg, I = 16; 40.75 deg, I = 15; 48.17 deg, I = 15


(7)
For Pr3GePO9, a cell relaxed with PBE gives the calculated powder diffraction line list in this record (Cu Kα).

Cell and atoms:
a = 7.134 Å, b = 12.615 Å, c = 9.865 Å
α = 90.00°, β = 115.93°, γ = 90.00°
Atoms (fractional coordinates):
Pr (0.038, 0.133, 0.371)
Pr (0.038, 0.367, 0.871)
Pr (0.365, 0.610, 0.875)
Pr (0.365, 0.890, 0.375)
Pr (0.388, 0.129, 0.144)
Pr (0.388, 0.371, 0.644)
Pr (0.612, 0.629, 0.356)
Pr (0.612, 0.871, 0.856)
Pr (0.635, 0.110, 0.625)
Pr (0.635, 0.390, 0.125)
Pr (0.962, 0.633, 0.129)
Pr (0.962, 0.867, 0.629)
Ge (0.196, 0.103, 0.735)
Ge (0.196, 0.397, 0.235)
Ge (0.804, 0.603, 0.765)
Ge (0.804, 0.897, 0.265)
P (0.221, 0.663, 0.523)
P (0.221, 0.837, 0.023)
P (0.779, 0.163, 0.977)
P (0.779, 0.337, 0.477)
O (0.001, 0.157, 0.108)
O (0.001, 0.343, 0.608)
O (0.062, 0.575, 0.912)
O (0.062, 0.925, 0.412)
O (0.177, 0.174, 0.881)
O (0.177, 0.326, 0.381)
O (0.239, 0.743, 0.650)
O (0.239, 0.757, 0.150)
O (0.287, 0.556, 0.607)
O (0.287, 0.944, 0.107)
O (0.290, 0.529, 0.273)
O (0.290, 0.971, 0.773)
O (0.313, 0.174, 0.634)
O (0.313, 0.326, 0.134)
O (0.371, 0.078, 0.376)
O (0.371, 0.422, 0.876)
O (0.372, 0.704, 0.459)
O (0.372, 0.796, 0.959)
O (0.628, 0.204, 0.041)
O (0.628, 0.296, 0.541)
O (0.629, 0.578, 0.124)
O (0.629, 0.922, 0.624)
O (0.687, 0.674, 0.866)
O (0.687, 0.826, 0.366)
O (0.710, 0.029, 0.227)
O (0.710, 0.471, 0.727)
O (0.713, 0.056, 0.893)
O (0.713, 0.444, 0.393)
O (0.761, 0.243, 0.850)
O (0.761, 0.257, 0.350)
O (0.823, 0.674, 0.619)
O (0.823, 0.826, 0.119)
O (0.938, 0.075, 0.588)
O (0.938, 0.425, 0.088)
O (0.999, 0.657, 0.392)
O (0.999, 0.843, 0.892)

Top 10 peaks for 2θ = 15–90°, most intense first:
28.83 deg, I = 100; 28.30 deg, I = 88; 29.91 deg, I = 63; 28.05 deg, I = 51; 26.04 deg, I = 41; 19.99 deg, I = 33; 30.67 deg, I = 33; 36.20 deg, I = 25; 50.43 deg, I = 22; 44.14 deg, I = 20